Ba2LiNi2O6: calculated XRD peak list (λ = 1.5418 Å (Cu Kα)), based on the PBE+U geometry in Alexandria.
Intensities are scaled so that the largest is 100.

Largest 12 diffraction maxima, sorted by position, 15° ≤ 2θ ≤ 90°:
d/Å, Position (°2θ), I_rel
4.115, 21.60, 66
3.742, 23.78, 23
3.303, 27.00, 66
2.947, 30.33, 100
2.864, 31.23, 58
2.812, 31.82, 30
2.351, 38.28, 47
2.317, 38.87, 47
2.126, 42.53, 40
2.021, 44.84, 19
1.670, 54.97, 44
1.651, 55.66, 21

```
Ba2LiNi2O6
1.0
5.331 -2.864 0.000
5.331 2.864 0.000
-1.296 0.000 4.899
Ba Li Ni O
2 1 2 6
Direct
0.000 0.000 0.000
0.710 0.710 0.381
0.166 0.166 0.635
0.375 0.375 0.124
0.385 0.385 0.625
0.092 0.515 0.826
0.226 0.674 0.414
0.229 0.229 0.330
0.515 0.092 0.826
0.528 0.528 0.928
0.674 0.226 0.414
```